Structure and calculated powder diffraction line list of La6Pr3Sm (a cell relaxed with GGA-PBE; Cu Kα, 1.54184 Å).

Crystal structure
```
data_La6Pr3Sm
_chemical_formula_sum 'La12 Pr6 Sm2'
_space_group_name_H-M_alt 'P 1'
_space_group_IT_number 1
_cell_length_a 11.1695
_cell_length_b 11.1695
_cell_length_c 6.5433
_cell_angle_alpha 90.00
_cell_angle_beta 90.00
_cell_angle_gamma 117.18
loop_
_space_group_symop_operation_xyz
'x,y,z'
loop_
_atom_site_label
_atom_site_fract_x
_atom_site_fract_y
_atom_site_fract_z
_atom_site_occupancy
La1 0.0118 0.5667 0.5597 1
La2 0.0726 0.9274 0.5000 1
La3 0.2550 0.3760 0.9576 1
La4 0.2958 0.7042 0.7478 1
La5 0.3760 0.2550 0.4576 1
La6 0.4333 0.9882 0.5597 1
La7 0.5667 0.0118 0.0597 1
La8 0.6240 0.7450 0.9576 1
La9 0.7042 0.2958 0.2478 1
La10 0.7450 0.6240 0.4576 1
La11 0.9274 0.0726 0.0000 1
La12 0.9882 0.4333 0.0597 1
Pr1 0.0753 0.2820 0.4790 1
Pr2 0.2820 0.0753 0.9790 1
Pr3 0.4199 0.5801 0.3959 1
Pr4 0.5801 0.4199 0.8959 1
Pr5 0.7180 0.9247 0.4790 1
Pr6 0.9247 0.7180 0.9790 1
Sm1 0.2446 0.7554 0.1880 1
Sm2 0.7554 0.2446 0.6880 1
```

The 10 most intense peaks (2θ from 5° to 70°), low angle first:
Position (°2θ)  intensity
26.9  13
27.3  15
27.8  15
28.1  32
28.9  24
30.2  100
30.7  11
31.3  40
32.8  10
35.0  17